1.
For SrCa3Pa2N6, a cell relaxed with GGA-PBE gives the calculated X-ray powder pattern in this record (Cu Kα).
Kinematic intensities with the Lorentz-polarization factor, no thermal factor.

Principal peaks in the range 10° ≤ 2θ ≤ 90°, in order of falling intensity:
- 30.46 deg, I 100
- 15.36 deg, I 86
- 35.34 deg, I 74
- 29.02 deg, I 37
- 35.74 deg, I 34
- 31.00 deg, I 32
- 50.77 deg, I 24
- 51.51 deg, I 23
- 60.43 deg, I 21
- 61.02 deg, I 21

```
12
Lattice="7.7132 -1.8064 0.0000 7.7132 1.8064 0.0000 -1.5217 0.0000 6.9791" Properties=species:S:1:pos:R:3 pbc="T T T"
Sr 0.0000 0.0000 0.0000
Ca -0.7608 0.0000 3.4895
Ca 4.8829 0.0000 1.1597
Ca 9.0219 0.0000 5.8194
Pa 4.1543 0.0000 4.6729
Pa 9.7505 0.0000 2.3062
N 2.4844 0.0000 0.8442
N 1.9081 0.0000 3.9408
N 6.2802 0.0000 5.0720
N 7.6247 0.0000 1.9070
N 11.9967 0.0000 3.0383
N 11.4204 0.0000 6.1349
```

2.
For Ca7PbN6, a cell relaxed with GGA-PBE gives the calculated X-ray powder pattern in this record (Cu Kα).
Kinematic intensities with the Lorentz-polarization factor, no thermal factor.

Principal peaks in the range 10° ≤ 2θ ≤ 90°, in order of falling intensity:
- 20.97 deg, I 100
- 31.75 deg, I 98
- 34.63 deg, I 67
- 15.63 deg, I 61
- 20.26 deg, I 45
- 13.89 deg, I 45
- 31.20 deg, I 41
- 29.60 deg, I 38
- 43.53 deg, I 33
- 14.67 deg, I 30

```
28
Lattice="-3.2102 6.0379 6.3741 3.2102 -6.0379 6.3741 3.2102 6.0379 -6.3741" Properties=species:S:1:pos:R:3 pbc="T T T"
Ca 1.3544 0.6129 0.0000
Ca 3.9984 2.6532 -1.6251
Ca 3.9984 -2.6532 4.7490
Ca 0.0000 0.0000 3.1871
Ca 3.9984 2.6532 1.6251
Ca 0.7882 3.3846 1.6251
Ca 1.3544 -0.6129 6.3741
Ca 1.8558 6.6507 0.0000
Ca 2.4220 2.6532 4.7490
Ca -0.7882 3.3846 4.7490
Ca 0.0000 0.0000 9.5612
Ca -0.7882 8.6911 1.6251
Ca -0.7882 3.3846 7.9992
Ca 1.8558 5.4250 6.3741
Pb 3.2102 0.0000 3.1871
Pb 0.0000 6.0379 3.1871
N 4.5696 -1.4435 2.2485
N 2.3843 -4.2584 6.3741
N 1.8508 -1.4435 4.1256
N 1.8508 1.4435 2.2485
N 2.3843 4.2584 0.0000
N 1.3594 7.4813 -2.2485
N 1.8508 -1.4435 8.6226
N 0.8259 1.7794 6.3741
N 1.3594 4.5944 4.1256
N 1.3594 7.4813 2.2485
N 0.8259 10.2963 0.0000
N -1.3594 7.4813 4.1256
```

3.
For Ca7PbN2, a cell relaxed with GGA-PBE gives the calculated X-ray powder pattern in this record (Cu Kα).
Kinematic intensities with the Lorentz-polarization factor, no thermal factor.

Principal peaks in the range 10° ≤ 2θ ≤ 90°, in order of falling intensity:
- 30.07 deg, I 100
- 11.98 deg, I 93
- 35.67 deg, I 52
- 22.18 deg, I 48
- 27.00 deg, I 48
- 19.40 deg, I 39
- 23.43 deg, I 37
- 34.71 deg, I 36
- 36.48 deg, I 35
- 63.36 deg, I 34

```
10
Lattice="4.5746 -6.2635 0.0000 4.5746 6.2635 0.0000 0.0000 0.0000 4.7719" Properties=species:S:1:pos:R:3 pbc="T T T"
Ca 0.0000 0.0000 0.0000
Ca 3.0029 1.7706 0.0000
Ca 4.5746 3.7488 2.3860
Ca 3.0029 -1.7706 0.0000
Ca 6.1464 1.7706 0.0000
Ca 4.5746 -3.7488 2.3860
Ca 6.1464 -1.7706 0.0000
Pb 4.5746 0.0000 2.3860
N 4.5746 3.6306 0.0000
N 4.5746 -3.6306 0.0000
```

4.
For Ca2PbN2, a cell relaxed with GGA-PBE gives the calculated X-ray powder pattern in this record (Cu Kα).
Kinematic intensities with the Lorentz-polarization factor, no thermal factor.

Principal peaks in the range 10° ≤ 2θ ≤ 90°, in order of falling intensity:
- 31.43 deg, I 100
- 25.55 deg, I 87
- 12.70 deg, I 68
- 35.25 deg, I 48
- 53.37 deg, I 27
- 35.84 deg, I 25
- 38.74 deg, I 24
- 58.83 deg, I 22
- 40.93 deg, I 18
- 60.90 deg, I 17

```
10
Lattice="3.5967 0.0000 0.0000 0.0000 13.9456 0.0000 0.0000 0.0000 3.6057" Properties=species:S:1:pos:R:3 pbc="T T T"
Ca 0.8992 1.1276 0.8908
Ca 0.8992 5.8452 0.8908
Ca 2.6976 8.1004 2.7149
Ca 2.6976 12.8180 2.7149
Pb 0.8992 10.4592 1.2554
Pb 2.6976 3.4864 2.3502
N 0.8992 8.2494 0.8073
N 0.8992 12.6690 0.8073
N 2.6976 1.2766 2.7983
N 2.6976 5.6962 2.7983
```

5.
For Ca4PdN, a cell relaxed with GGA-PBE gives the calculated X-ray powder pattern in this record (Cu Kα).
Kinematic intensities with the Lorentz-polarization factor, no thermal factor.

Principal peaks in the range 10° ≤ 2θ ≤ 90°, in order of falling intensity:
- 21.47 deg, I 100
- 24.45 deg, I 64
- 15.52 deg, I 56
- 32.71 deg, I 50
- 30.65 deg, I 50
- 36.45 deg, I 42
- 38.39 deg, I 42
- 35.28 deg, I 41
- 29.93 deg, I 34
- 38.82 deg, I 33

```
12
Lattice="4.2555 -7.1189 0.0000 4.2555 7.1189 0.0000 -3.7796 0.0000 5.0885" Properties=species:S:1:pos:R:3 pbc="T T T"
Ca -0.1453 4.3259 4.3339
Ca -0.6677 0.5230 3.5959
Ca 1.2221 -0.5230 1.0517
Ca 2.9869 4.3259 3.2989
Ca 1.7445 -4.3259 1.7896
Ca 3.5092 0.5230 4.0368
Ca 5.3990 -0.5230 1.4926
Ca 4.8767 -4.3259 0.7546
Pd 3.3106 1.8950 1.2721
Pd 1.4208 -1.8950 3.8164
N 1.4208 6.0886 3.8164
N 3.3106 -6.0886 1.2721
```

6.
For Ca8PdN4, a cell relaxed with GGA-PBE gives the calculated X-ray powder pattern in this record (Cu Kα).
Kinematic intensities with the Lorentz-polarization factor, no thermal factor.

Principal peaks in the range 10° ≤ 2θ ≤ 90°, in order of falling intensity:
- 29.17 deg, I 100
- 48.57 deg, I 79
- 44.39 deg, I 70
- 27.90 deg, I 59
- 23.73 deg, I 53
- 36.95 deg, I 50
- 14.47 deg, I 43
- 33.81 deg, I 40
- 16.72 deg, I 39
- 57.66 deg, I 26

```
13
Lattice="0.0000 5.3021 5.3021 5.3021 0.0000 5.3021 5.3021 5.3021 0.0000" Properties=species:S:1:pos:R:3 pbc="T T T"
Ca 4.1927 4.1927 4.1927
Ca 6.4115 6.4115 4.1927
Ca 6.4115 4.1927 6.4115
Ca 9.1023 6.8040 6.8040
Ca 4.1927 6.4115 6.4115
Ca 6.8040 9.1023 6.8040
Ca 6.8040 6.8040 9.1023
Ca 9.1023 9.1023 9.1023
Pd 2.6511 2.6511 2.6511
N 6.6415 3.9627 3.9627
N 3.9627 6.6415 3.9627
N 3.9627 3.9627 6.6415
N 6.6415 6.6415 6.6415
```

7.
For Ca4Pu3PdN8, a cell relaxed with GGA-PBE gives the calculated X-ray powder pattern in this record (Cu Kα).
Kinematic intensities with the Lorentz-polarization factor, no thermal factor.

Principal peaks in the range 10° ≤ 2θ ≤ 90°, in order of falling intensity:
- 15.66 deg, I 100
- 31.65 deg, I 66
- 32.06 deg, I 63
- 38.08 deg, I 60
- 52.39 deg, I 47
- 34.59 deg, I 40
- 31.30 deg, I 35
- 29.05 deg, I 24
- 64.58 deg, I 19
- 39.98 deg, I 19

```
16
Lattice="6.1804 -3.3126 0.0000 6.1804 3.3126 0.0000 -3.6688 0.0000 5.6587" Properties=species:S:1:pos:R:3 pbc="T T T"
Ca 0.0000 0.0000 0.0000
Ca 3.0902 1.6563 0.0000
Ca 3.0902 -1.6563 0.0000
Ca 6.1804 0.0000 0.0000
Pu -1.8344 0.0000 2.8293
Pu 1.2558 1.6563 2.8293
Pu 1.2558 -1.6563 2.8293
Pd 4.3460 0.0000 2.8293
N 1.8130 0.0000 1.4846
N 3.4582 1.7048 4.0153
N 0.3843 0.0000 4.1110
N 5.2339 1.7048 1.6434
N 3.4582 -1.7048 4.0153
N 8.3078 0.0000 1.5477
N 5.2339 -1.7048 1.6434
N 6.8790 0.0000 4.1741
```

8.
For CaPmN2, a cell relaxed with GGA-PBE gives the calculated X-ray powder pattern in this record (Cu Kα).
Kinematic intensities with the Lorentz-polarization factor, no thermal factor.

Principal peaks in the range 10° ≤ 2θ ≤ 90°, in order of falling intensity:
- 35.37 deg, I 100
- 30.44 deg, I 83
- 15.21 deg, I 61
- 29.09 deg, I 38
- 50.72 deg, I 34
- 51.05 deg, I 33
- 30.69 deg, I 27
- 60.46 deg, I 25
- 38.70 deg, I 17
- 63.35 deg, I 17

```
12
Lattice="3.6000 0.0000 0.0000 -1.8000 3.1177 0.0000 0.0000 0.0000 17.4771" Properties=species:S:1:pos:R:3 pbc="T T T"
Ca 0.0000 0.0000 0.0000
Ca 0.0000 2.0785 11.6514
Ca 1.8000 1.0392 5.8257
Pm 0.0000 0.0000 8.7386
Pm 0.0000 2.0785 2.9129
Pm 1.8000 1.0392 14.5643
N 0.0000 0.0000 4.2933
N 0.0000 0.0000 13.1839
N 0.0000 2.0785 7.3582
N 0.0000 2.0785 15.9447
N 1.8000 1.0392 1.5325
N 1.8000 1.0392 10.1190
```